(1)
Structure and simulated powder diffractogram of SrLi2ThS4 (a structure optimized by DFT (GGA-PBE); copper Kα).
No peak broadening, texture or thermal motion is included.

Atomic structure:
Cell: 6.853 6.853 7.875 Å, 90.00 90.00 90.00°
Space group I-42m (No. 121)
One atom of each set of equivalent atoms:
Sr (0.000, 0.000, 0.000) x2
Li (0.000, 0.500, 0.250) x4
Th (0.000, 0.000, 0.500) x2
S (0.230, 0.230, 0.692) x8

Top 10 peaks for 10 to 80 degrees two-theta, in order of rising 2θ:
| hkl | 2theta | intensity |
| --- | --- | --- |
| 1 0 1 | 17.15 | 48.5 |
| 1 1 0 | 18.31 | 100.0 |
| 1 1 2 | 29.22 | 78.7 |
| 2 1 1 | 31.32 | 20.6 |
| 2 0 2 | 34.70 | 71.4 |
| 2 2 0 | 37.11 | 37.4 |
| 3 1 0 | 41.68 | 24.1 |
| 3 1 2 | 47.91 | 41.5 |
| 1 1 4 | 50.00 | 17.3 |
| 4 2 2 | 65.35 | 21.1 |

---

(2)
Structure and simulated powder diffractogram of SmFeMo (a structure optimized by DFT (GGA-PBE); copper Kα).
No peak broadening, texture or thermal motion is included.

Atomic structure:
Cell: 8.479 5.440 9.680 Å, 90.00 90.00 90.00°
Space group Amm2 (No. 38)
One atom of each set of equivalent atoms:
Sm (0.181, 0.000, 0.000) x4
Sm (0.301, 0.000, 0.335) x4
Fe (0.000, 0.000, 0.504) x2
Fe (0.000, 0.246, 0.748) x4
Fe (0.500, 0.000, 0.838) x2
Mo (0.246, 0.000, 0.669) x4
Mo (0.500, 0.246, 0.087) x4

Top 10 peaks for 10 to 80 degrees two-theta, in order of rising 2θ:
| hkl | 2theta | intensity |
| --- | --- | --- |
| 0 1 3 | 32.26 | 52.1 |
| 0 2 0 | 32.93 | 19.3 |
| 3 0 2 | 36.83 | 31.1 |
| 3 1 1 | 37.03 | 50.7 |
| 2 1 3 | 38.76 | 100.0 |
| 2 2 0 | 39.36 | 44.9 |
| 1 2 2 | 39.46 | 40.9 |
| 2 0 6 | 61.50 | 23.0 |
| 2 3 3 | 62.73 | 18.2 |
| 0 2 6 | 67.48 | 29.1 |